(1)
This entry pairs a crystal structure of K3Zr3USe8 with its calculated powder diffraction line list. Radiation: a wavelength of 1.5418 Å. Structure: a structure optimized by DFT (PBE).

The 6 most intense peaks (15 to 90 degrees two-theta), by intensity:
h k l	d (Å)	Rel. int.
4 0 0	2.946	100
2 2 2	2.236	36
0 4 0	1.958	32
2 2 -3	2.401	23
4 4 0	1.631	16
4 0 -5	1.824	15

Atomic structure:
abc: 13.5597 7.8337 9.1285
angles: 90.00 119.65 90.00
Space group C2/m (No. 12)
One atom of each set of equivalent atoms:
1 K 0.0000 0.0000 0.0000 x2
2 K 0.2500 0.2500 0.0000 x4
3 Zr 0.0000 0.5000 0.5000 x2
4 Zr 0.2500 0.2500 0.5000 x4
5 U 0.0000 0.0000 0.5000 x2
6 Se 0.0182 0.2596 0.2952 x8
7 Se 0.2341 0.5000 0.7020 x4
8 Se 0.2415 0.0000 0.7048 x4

(2)
This entry pairs a crystal structure of Mg3Zn2Au with its calculated powder diffraction line list. Radiation: a wavelength of 1.5418 Å. Structure: a structure optimized by DFT (PBE).

The 6 most intense peaks (15 to 90 degrees two-theta), by intensity:
h k l	d (Å)	Rel. int.
1 3 1	2.319	100
1 3 0	3.346	53
2 0 0	2.369	27
0 6 0	2.363	26
1 1 0	4.495	26
0 0 1	3.217	24

Atomic structure:
abc: 4.7390 14.1776 3.2170
angles: 90.00 90.00 90.00
Space group Cmmm (No. 65)
One atom of each set of equivalent atoms:
1 Mg 0.0000 0.0000 0.0000 x2
2 Mg 0.0000 0.3373 0.0000 x4
3 Zn 0.0000 0.1715 0.5000 x4
4 Au 0.0000 0.5000 0.5000 x2

(3)
This entry pairs a crystal structure of La9PrTh4 with its calculated powder diffraction line list. Radiation: a wavelength of 1.5418 Å. Structure: a structure optimized by DFT (PBE).

The 6 most intense peaks (15 to 90 degrees two-theta), by intensity:
h k l	d (Å)	Rel. int.
2 1 2	2.874	100
3 0 1	2.862	55
2 0 3	2.844	40
3 0 5	1.777	28
0 0 4	2.776	24
5 0 2	1.693	21

Atomic structure:
abc: 10.2612 10.2612 11.1042
angles: 90.00 90.00 120.00
Space group P6_3/mmc (No. 194)
One atom of each set of equivalent atoms:
1 La 0.0839 0.5419 0.2500 x6
2 La 0.1978 0.3956 0.5448 x12
3 Pr 0.3333 0.6667 0.7500 x2
4 Th 0.0000 0.0000 0.0000 x2
5 Th 0.1113 0.2226 0.2500 x6

(4)
This entry pairs a crystal structure of Li2Ce2PmSi2 with its calculated powder diffraction line list. Radiation: a wavelength of 1.5418 Å. Structure: a structure optimized by DFT (PBE).

The 6 most intense peaks (15 to 90 degrees two-theta), by intensity:
h k l	d (Å)	Rel. int.
1 0 1	3.764	100
1 0 7	2.677	91
1 1 0	2.195	60
0 1 8	2.492	52
0 0 6	4.398	30
0 2 7	1.698	23

Atomic structure:
abc: 4.3908 4.3908 26.3884
angles: 90.00 90.00 120.00
Space group R-3m (No. 166, hexagonal axes)
One atom of each set of equivalent atoms:
1 Li 0.0000 0.0000 0.0923 x6
2 Ce 0.0000 0.0000 0.3587 x6
3 Pm 0.0000 0.0000 0.5000 x3
4 Si 0.0000 0.0000 0.2379 x6